NaCr2InH4O10: computed X-ray powder pattern (Cu Kα), based on a structure optimized by DFT (PBE+U).
Kinematic intensities with the Lorentz-polarization factor, no thermal factor.

Principal peaks in the range 10 to 80 degrees two-theta, in order of rising 2θ:
2θ 16.98, rel. 39.5; 2θ 17.13, rel. 75.2; 2θ 23.94, rel. 100.0; 2θ 29.11, rel. 73.3; 2θ 30.06, rel. 45.8; 2θ 31.33, rel. 39.0; 2θ 31.77, rel. 26.1; 2θ 49.03, rel. 25.5

Atomic structure:
```
NaCr2InH4O10
1.0
5.6343 -2.8554 0.0000
5.6343 2.8554 0.0000
-2.7333 0.0000 6.7544
Na Cr In H O
1 2 1 4 10
direct
0.0000 0.0000 0.0000
0.3859 0.3859 0.1747
0.6141 0.6141 0.8253
0.0000 0.0000 0.5000
0.2384 0.2384 0.4490
0.2686 0.2686 0.6921
0.7314 0.7314 0.3079
0.7616 0.7616 0.5510
0.2027 0.2027 0.5550
0.2280 0.7198 0.2677
0.2568 0.2568 0.2272
0.2802 0.7720 0.7323
0.3469 0.3469 0.9357
0.6531 0.6531 0.0643
0.7198 0.2280 0.2677
0.7432 0.7432 0.7728
0.7720 0.2802 0.7323
0.7973 0.7973 0.4450
```